For Co9Ge, a cell relaxed with PBE gives the simulated X-ray powder pattern in this record (copper Kα).
Kinematic intensities with the Lorentz-polarization factor, no thermal factor.

Largest 12 diffraction maxima, in order of rising 2θ, 2θ = 10–90°:
2θ 11.5, intensity 7; 2θ 39.9, intensity 3; 2θ 43.8, intensity 52; 2θ 44.4, intensity 100; 2θ 44.7, intensity 6; 2θ 45.8, intensity 47; 2θ 51.0, intensity 32; 2θ 52.1, intensity 30; 2θ 52.9, intensity 30; 2θ 75.9, intensity 25; 2θ 77.1, intensity 6; 2θ 77.4, intensity 18

Atomic structure:
```
data_Co9Ge
_space_group_name_H-M_alt 'P m m n'
_space_group_IT_number 59
_cell_length_a 2.506
_cell_length_b 3.515
_cell_length_c 38.343
_cell_angle_alpha 90.00
_cell_angle_beta 90.00
_cell_angle_gamma 90.00
loop_
_space_group_symop_operation_xyz
'x,y,z'
'-x,-y,-z'
'-x+1/2,-y+1/2,z'
'x+1/2,y+1/2,-z'
'x+1/2,-y,-z'
'-x+1/2,y,z'
'-x,y+1/2,-z'
'x,-y+1/2,z'
loop_
_atom_site_label
_atom_site_type_symbol
_atom_site_fract_x
_atom_site_fract_y
_atom_site_fract_z
_atom_site_occupancy
Co1 Co 0.250 0.250 0.016 1
Co2 Co 0.250 0.250 0.081 1
Co3 Co 0.250 0.250 0.145 1
Co4 Co 0.250 0.250 0.210 1
Co5 Co 0.250 0.250 0.274 1
Co6 Co 0.250 0.250 0.759 1
Co7 Co 0.250 0.250 0.823 1
Co8 Co 0.250 0.250 0.887 1
Co9 Co 0.250 0.250 0.952 1
Ge1 Ge 0.250 0.250 0.693 1
```